1.
This entry pairs a crystal structure of TaZnW with its simulated powder diffractogram. Radiation: Cu Ka. Structure: a cell relaxed with PBE.
Intensities are scaled so that the largest is 100.

Main lines, by angle (15 to 90 degrees two-theta):
index, 2theta, I/Imax
2 0 0, 35.6, 29
1 1 3, 36.9, 89
1 3 1, 37.3, 100
0 2 4, 46.3, 30
2 2 2, 46.5, 24
3 1 3, 64.8, 24

```
data_TaZnW
_symmetry_space_group_name_H-M 'F m m m'
_symmetry_Int_Tables_number 69
_symmetry_space_group_name_Hall '-F 2 2'
_cell_length_a 5.0425
_cell_length_b 8.6600
_cell_length_c 8.7980
_cell_angle_alpha 90.00
_cell_angle_beta 90.00
_cell_angle_gamma 90.00
loop_
_atom_site_label
_atom_site_type_symbol
_atom_site_fract_x
_atom_site_fract_y
_atom_site_fract_z
Ta1 Ta 0.0000 0.1581 0.0000
Zn1 Zn 0.2500 0.2500 0.2500
W1 W 0.0000 0.0000 0.3533
```

---

2.
This entry pairs a crystal structure of Y3Ta with its simulated powder diffractogram. Radiation: Cu Ka. Structure: a cell relaxed with PBE.
Intensities are scaled so that the largest is 100.

Main lines, by angle (15 to 90 degrees two-theta):
index, 2theta, I/Imax
2 0 -2, 32.0, 36
1 1 1, 32.7, 100
2 0 2, 37.0, 23
3 1 -1, 38.1, 45
1 1 -3, 53.7, 16
2 2 -2, 65.5, 17

```
data_Y3Ta
_symmetry_space_group_name_H-M 'C 1 2/m 1'
_symmetry_Int_Tables_number 12
_cell_length_a 11.1126
_cell_length_b 3.3107
_cell_length_c 5.9747
_cell_angle_alpha 90.00
_cell_angle_beta 99.69
_cell_angle_gamma 90.00
loop_
_symmetry_equiv_pos_as_xyz
'x,y,z'
'-x,-y,-z'
'-x,y,-z'
'x,-y,z'
'x+1/2,y+1/2,z'
'-x+1/2,-y+1/2,-z'
'-x+1/2,y+1/2,-z'
'x+1/2,-y+1/2,z'
loop_
_atom_site_label
_atom_site_type_symbol
_atom_site_fract_x
_atom_site_fract_y
_atom_site_fract_z
Y1 Y 0.0000 0.0000 0.0000
Y2 Y 0.2378 0.0000 0.7325
Ta1 Ta 0.0000 0.5000 0.5000
```

---

3.
This entry pairs a crystal structure of YTa5 with its simulated powder diffractogram. Radiation: Cu Ka. Structure: a cell relaxed with PBE.
Intensities are scaled so that the largest is 100.

Main lines, by angle (15 to 90 degrees two-theta):
index, 2theta, I/Imax
4 0 -2, 34.8, 94
2 0 2, 35.0, 33
4 0 1, 35.4, 37
3 1 0, 37.2, 100
1 1 -2, 40.9, 79
4 2 -2, 73.4, 24

```
data_YTa5
_symmetry_space_group_name_H-M 'C 1 m 1'
_symmetry_Int_Tables_number 8
_cell_length_a 12.8480
_cell_length_b 2.9821
_cell_length_c 6.5563
_cell_angle_alpha 90.00
_cell_angle_beta 104.99
_cell_angle_gamma 90.00
loop_
_symmetry_equiv_pos_as_xyz
'x,y,z'
'x,-y,z'
'x+1/2,y+1/2,z'
'x+1/2,-y+1/2,z'
loop_
_atom_site_label
_atom_site_type_symbol
_atom_site_fract_x
_atom_site_fract_y
_atom_site_fract_z
Y1 Y 0.0000 0.0000 0.0000
Ta1 Ta 0.1326 0.5000 0.7392
Ta2 Ta 0.1777 0.5000 0.3574
Ta3 Ta 0.2838 0.0000 0.0912
Ta4 Ta 0.3268 0.0000 0.6553
Ta5 Ta 0.4524 0.5000 0.4308
```